Simulated powder X-ray diffraction pattern of LiAlFeO3 for copper Kα, from a DFT-relaxed cell (PBE+U, the Materials Project).

Crystal structure
Cell lengths 5.321, 5.468, 5.503 Å; angles 65.03, 66.19, 67.03 degrees
Element x y z (fractional)
Li1 0.069 0.426 0.249
Li2 0.931 0.574 0.751
Al1 0.244 0.919 0.085
Al2 0.756 0.081 0.915
Fe1 0.433 0.736 0.590
Fe2 0.567 0.264 0.410
O1 0.074 0.788 0.921
O2 0.248 0.613 0.390
O3 0.428 0.080 0.211
O4 0.572 0.920 0.789
O5 0.752 0.387 0.610
O6 0.926 0.212 0.079

Peak list (10 most intense, 10° ≤ 2θ ≤ 90°, in order of rising 2θ)
| 2θ (°) | intensity | h k l |
| --- | --- | --- |
| 18.56 | 24 | 0 1 0 |
| 18.90 | 66 | 1 0 0 |
| 22.43 | 27 | 1 0 1 |
| 22.76 | 34 | 1 1 0 |
| 30.01 | 32 | 1 -1 0 |
| 30.29 | 100 | 0 1 -1 |
| 37.60 | 22 | 0 2 0 |
| 42.91 | 59 | 2 2 2 |
| 53.46 | 54 | -2 1 1 |
| 53.99 | 27 | 1 1 -2 |

=====

Simulated powder X-ray diffraction pattern of CaW2O4 for copper Kα, from a DFT-relaxed cell (PBE+U, the Materials Project).

Crystal structure
Cell lengths 6.569, 11.166, 5.686 Å; angles 90.00, 90.00, 90.00 degrees
Element x y z (fractional)
Ca1 0.250 0.250 0.034
Ca2 0.250 0.750 0.354
Ca3 0.750 0.250 0.646
Ca4 0.750 0.750 0.966
W1 0.000 0.000 0.500
W2 0.000 0.500 0.500
W3 0.250 0.516 0.988
W4 0.250 0.984 0.988
W5 0.500 0.000 0.500
W6 0.500 0.500 0.500
W7 0.750 0.016 0.012
W8 0.750 0.484 0.012
O1 0.007 0.103 0.835
O2 0.007 0.397 0.835
O3 0.250 0.089 0.308
O4 0.250 0.411 0.308
O5 0.250 0.603 0.644
O6 0.250 0.897 0.644
O7 0.493 0.103 0.835
O8 0.493 0.397 0.835
O9 0.507 0.603 0.165
O10 0.507 0.897 0.165
O11 0.750 0.103 0.356
O12 0.750 0.397 0.356
O13 0.750 0.589 0.692
O14 0.750 0.911 0.692
O15 0.993 0.603 0.165
O16 0.993 0.897 0.165

Peak list (10 most intense, 10° ≤ 2θ ≤ 90°, in order of rising 2θ)
| 2θ (°) | intensity | h k l |
| --- | --- | --- |
| 15.87 | 100 | 0 2 0 |
| 31.46 | 58 | 0 0 2 |
| 32.06 | 18 | 0 4 0 |
| 35.42 | 58 | 2 2 1 |
| 35.43 | 28 | 0 2 2 |
| 45.54 | 54 | 0 4 2 |
| 56.01 | 20 | 4 0 0 |
| 58.61 | 13 | 2 2 3 |
| 59.35 | 20 | 2 6 1 |
| 66.01 | 15 | 4 4 0 |

=====

Simulated powder X-ray diffraction pattern of NdFeO3 for copper Kα, from a DFT-relaxed cell (PBE+U, the Materials Project).

Crystal structure
Cell lengths 5.697, 7.864, 5.500 Å; angles 90.00, 90.00, 90.00 degrees
Element x y z (fractional)
Nd1 0.057 0.250 0.014
Nd2 0.443 0.750 0.514
Nd3 0.557 0.250 0.486
Nd4 0.943 0.750 0.986
Fe1 0.000 0.000 0.500
Fe2 0.000 0.500 0.500
Fe3 0.500 0.000 0.000
Fe4 0.500 0.500 0.000
O1 0.029 0.750 0.405
O2 0.203 0.550 0.797
O3 0.203 0.950 0.797
O4 0.297 0.050 0.297
O5 0.297 0.450 0.297
O6 0.471 0.250 0.905
O7 0.529 0.750 0.095
O8 0.703 0.550 0.703
O9 0.703 0.950 0.703
O10 0.797 0.050 0.203
O11 0.797 0.450 0.203
O12 0.971 0.250 0.595

Peak list (10 most intense, 10° ≤ 2θ ≤ 90°, in order of rising 2θ)
| 2θ (°) | intensity | h k l |
| --- | --- | --- |
| 22.47 | 15 | 1 0 1 |
| 25.19 | 14 | 1 1 1 |
| 31.40 | 20 | 2 0 0 |
| 32.09 | 100 | 1 2 1 |
| 32.56 | 25 | 0 0 2 |
| 45.87 | 21 | 2 0 2 |
| 46.18 | 15 | 0 4 0 |
| 52.27 | 14 | 3 1 1 |
| 57.64 | 11 | 0 4 2 |
| 57.80 | 22 | 1 2 3 |

=====

Simulated powder X-ray diffraction pattern of Li3Mn2P2C2O14 for copper Kα, from a DFT-relaxed cell (PBE+U, the Materials Project).

Crystal structure
Cell lengths 8.202, 8.272, 9.407 Å; angles 106.17, 107.61, 104.14 degrees
Element x y z (fractional)
Li1 0.007 0.497 0.248
Li2 0.236 0.256 0.254
Li3 0.474 0.023 0.730
Li4 0.526 0.977 0.270
Li5 0.764 0.744 0.746
Li6 0.993 0.503 0.752
Mn1 0.180 0.933 0.333
Mn2 0.312 0.559 0.667
Mn3 0.688 0.441 0.333
Mn4 0.820 0.067 0.667
P1 0.057 0.790 0.580
P2 0.454 0.695 0.423
P3 0.546 0.305 0.577
P4 0.943 0.210 0.420
C1 0.008 0.751 0.048
C2 0.492 0.750 0.950
C3 0.508 0.250 0.050
C4 0.992 0.249 0.952
O1 0.020 0.300 0.839
O2 0.040 0.118 0.328
O3 0.080 0.359 0.586
O4 0.083 0.338 0.101
O5 0.142 0.908 0.107
O6 0.162 0.707 0.690
O7 0.198 0.919 0.544
O8 0.305 0.564 0.454
O9 0.351 0.600 0.897
O10 0.368 0.791 0.322
O11 0.400 0.166 0.410
O12 0.422 0.144 0.909
O13 0.464 0.419 0.675
O14 0.470 0.226 0.173
O15 0.530 0.774 0.827
O16 0.536 0.581 0.325
O17 0.578 0.856 0.091
O18 0.600 0.834 0.590
O19 0.632 0.209 0.678
O20 0.649 0.400 0.103
O21 0.695 0.436 0.546
O22 0.802 0.081 0.456
O23 0.838 0.293 0.310
O24 0.858 0.092 0.893
O25 0.917 0.662 0.899
O26 0.920 0.641 0.414
O27 0.960 0.882 0.672
O28 0.980 0.700 0.161

Peak list (10 most intense, 10° ≤ 2θ ≤ 90°, in order of rising 2θ)
| 2θ (°) | intensity | h k l |
| --- | --- | --- |
| 10.67 | 100 | 0 0 1 |
| 17.17 | 22 | -1 1 1 |
| 17.52 | 22 | 1 -1 1 |
| 19.90 | 33 | 1 1 0 |
| 21.27 | 46 | 1 1 -2 |
| 26.80 | 36 | 1 1 1 |
| 27.46 | 79 | 2 -2 0 |
| 35.56 | 15 | 2 2 -2 |
| 36.42 | 17 | 2 2 -1 |
| 56.67 | 15 | 4 -4 0 |